[1]
# RbAlZnO3
Calculated powder diffractogram, Cu Kα (weighted mean of Kα1 and Kα2). Input: a crystal structure in Alexandria, relaxed with GGA-PBE.
Kinematic intensities with the Lorentz-polarization factor, no thermal factor.

Crystal structure
Cell: 5.514 10.296 5.421 Å, 90.00 90.00 90.00°
Space group Cmcm (No. 63)
One atom of each set of equivalent atoms:
Rb 0.000 0.241 0.250
Al 0.000 0.441 0.750
Zn 0.000 0.079 0.750
O 0.000 0.269 0.750
O 0.228 0.500 0.000

Top 12 peaks for 2θ = 5–70°, by angle:
- 18.3°, I = 11, (1 1 0)
- 32.5°, I = 32, (2 0 0)
- 33.1°, I = 30, (0 0 2)
- 34.9°, I = 10, (0 4 0)
- 35.0°, I = 100, (1 3 1)
- 37.0°, I = 9, (2 2 0)
- 37.5°, I = 9, (0 2 2)
- 47.0°, I = 42, (2 0 2)
- 59.5°, I = 21, (3 3 1)
- 60.3°, I = 20, (1 3 3)
- 63.9°, I = 12, (2 6 0)
- 64.2°, I = 13, (0 6 2)

***

[2]
# AlTlRe2O8
Calculated powder diffractogram, Cu Kα (weighted mean of Kα1 and Kα2). Input: a crystal structure in Alexandria, relaxed with GGA-PBE.
Kinematic intensities with the Lorentz-polarization factor, no thermal factor.

Crystal structure
Cell: 8.655 5.863 8.153 Å, 90.00 91.00 90.00°
Space group C2/m (No. 12)
One atom of each set of equivalent atoms:
Al 0.000 0.000 0.000
Tl 0.000 0.000 0.500
Re 0.134 0.500 0.199
O 0.043 0.224 0.165
O 0.165 0.500 0.414
O 0.213 0.000 0.947

Top 12 peaks for 2θ = 5–70°, by angle:
- 21.2°, I = 100, (1 1 -1)
- 23.4°, I = 48, (2 0 1)
- 28.5°, I = 13, (1 1 -2)
- 28.7°, I = 61, (1 1 2)
- 29.9°, I = 15, (2 0 -2)
- 30.5°, I = 29, (0 2 0)
- 33.0°, I = 18, (0 0 3)
- 34.7°, I = 34, (3 1 0)
- 38.8°, I = 33, (2 2 1)
- 48.2°, I = 12, (1 1 -4)
- 49.0°, I = 28, (3 1 3)
- 53.1°, I = 12, (1 3 2)

***

[3]
# AlRu2O6
Calculated powder diffractogram, Cu Kα (weighted mean of Kα1 and Kα2). Input: a crystal structure in Alexandria, relaxed with GGA-PBE.
Kinematic intensities with the Lorentz-polarization factor, no thermal factor.

Crystal structure
Cell: 8.5171 8.5171 4.3347 Å, 90.00 90.00 120.00°
Space group P321 (No. 150)
One atom of each set of equivalent atoms:
Al 0.0000 0.0000 0.0000
Al 0.3333 0.6667 0.4950
Ru 0.0000 0.3452 0.0000
Ru 0.0000 0.6794 0.5000
O 0.1058 0.2170 0.2294
O 0.1175 0.5683 0.2590
O 0.2163 0.4496 0.7296

Top 12 peaks for 2θ = 5–70°, by angle:
- 20.9°, I = 19, (1 1 0)
- 29.4°, I = 100, (1 1 1)
- 36.5°, I = 29, (3 0 0)
- 41.7°, I = 4, (0 0 2)
- 42.3°, I = 8, (3 0 1)
- 42.5°, I = 4, (2 2 0)
- 47.0°, I = 5, (1 1 2)
- 47.6°, I = 25, (2 2 1)
- 56.6°, I = 35, (3 0 2)
- 61.4°, I = 22, (1 4 1)
- 65.8°, I = 13, (3 3 0)
- 68.6°, I = 8, (1 1 3)

***

[4]
# AlS2O2
Calculated powder diffractogram, Cu Kα (weighted mean of Kα1 and Kα2). Input: a crystal structure in Alexandria, relaxed with GGA-PBE.
Kinematic intensities with the Lorentz-polarization factor, no thermal factor.

Crystal structure
Cell: 6.200 6.200 3.667 Å, 90.00 90.00 90.00°
Space group P4/mbm (No. 127)
One atom of each set of equivalent atoms:
Al 0.000 0.000 0.000
S 0.164 0.336 0.000
O 0.198 0.302 0.500

Top 12 peaks for 2θ = 5–70°, by angle:
- 24.3°, I = 40, (0 0 1)
- 28.8°, I = 14, (2 0 0)
- 32.3°, I = 100, (2 1 0)
- 38.0°, I = 6, (2 0 1)
- 40.8°, I = 19, (2 1 1)
- 41.2°, I = 19, (2 2 0)
- 46.3°, I = 33, (3 1 0)
- 49.7°, I = 21, (0 0 2)
- 53.0°, I = 25, (3 1 1)
- 60.5°, I = 25, (2 1 2)
- 61.7°, I = 14, (4 1 0)
- 66.5°, I = 8, (2 2 2)

***

[5]
# AlS2O6
Calculated powder diffractogram, Cu Kα (weighted mean of Kα1 and Kα2). Input: a crystal structure in Alexandria, relaxed with GGA-PBE.
Kinematic intensities with the Lorentz-polarization factor, no thermal factor.

Crystal structure
Cell: 4.7131 4.7131 19.2154 Å, 90.00 90.00 120.00°
Space group R3 (No. 146, hexagonal axes)
One atom of each set of equivalent atoms:
Al 0.0000 0.0000 0.0000
S 0.0000 0.0000 0.2447
S 0.0000 0.0000 0.4219
O 0.0512 0.3481 0.0605
O 0.0512 0.7032 0.9392

Top 12 peaks for 2θ = 5–70°, by angle:
- 13.8°, I = 100, (0 0 3)
- 22.3°, I = 96, (1 0 1)
- 23.7°, I = 31, (0 1 2)
- 27.9°, I = 48, (0 0 6)
- 28.7°, I = 40, (1 0 4)
- 32.0°, I = 58, (0 1 5)
- 39.6°, I = 24, (1 0 7)
- 40.8°, I = 41, (2 -1 3)
- 47.9°, I = 16, (1 1 6)
- 58.3°, I = 20, (1 1 9)
- 65.2°, I = 13, (1 2 5)
- 69.0°, I = 19, (3 0 0)

***

[6]
# Al2Sb2O7
Calculated powder diffractogram, Cu Kα (weighted mean of Kα1 and Kα2). Input: a crystal structure in Alexandria, relaxed with GGA-PBE.
Kinematic intensities with the Lorentz-polarization factor, no thermal factor.

Crystal structure
Cell: 9.934 9.934 9.934 Å, 90.00 90.00 90.00°
Space group Fd-3m (No. 227, origin choice 2)
One atom of each set of equivalent atoms:
Al 0.000 0.000 0.000
Sb 0.000 0.000 0.500
O 0.116 0.375 0.875
O 0.125 0.125 0.125

Top 12 peaks for 2θ = 5–70°, by angle:
- 15.4°, I = 43, (1 1 1)
- 29.8°, I = 44, (3 1 1)
- 31.2°, I = 100, (2 2 2)
- 36.2°, I = 19, (4 0 0)
- 39.5°, I = 10, (3 3 1)
- 47.6°, I = 14, (3 3 3)
- 52.1°, I = 62, (4 4 0)
- 54.7°, I = 10, (5 3 1)
- 61.2°, I = 5, (5 3 3)
- 62.0°, I = 41, (6 2 2)
- 65.1°, I = 6, (4 4 4)
- 67.3°, I = 6, (5 5 1)

***

[7]
# AlSbO4
Calculated powder diffractogram, Cu Kα (weighted mean of Kα1 and Kα2). Input: a crystal structure in Alexandria, relaxed with GGA-PBE.
Kinematic intensities with the Lorentz-polarization factor, no thermal factor.

Crystal structure
Cell: 4.937 4.545 5.575 Å, 90.00 90.00 90.00°
Space group Pnc2 (No. 30)
One atom of each set of equivalent atoms:
Al 0.000 0.000 0.000
Sb 0.500 0.000 0.322
O 0.166 0.234 0.273
O 0.319 0.725 0.548

Top 12 peaks for 2θ = 5–70°, by angle:
- 18.0°, I = 44, (1 0 0)
- 25.3°, I = 65, (0 1 1)
- 31.2°, I = 100, (1 1 1)
- 32.1°, I = 13, (0 0 2)
- 37.0°, I = 22, (1 0 2)
- 44.8°, I = 25, (2 1 1)
- 53.3°, I = 14, (0 1 3)
- 54.9°, I = 18, (2 2 0)
- 55.4°, I = 29, (1 2 2)
- 62.3°, I = 15, (3 1 1)
- 66.2°, I = 13, (2 1 3)
- 66.7°, I = 12, (1 3 1)

***

[8]
# ScAl2O4
Calculated powder diffractogram, Cu Kα (weighted mean of Kα1 and Kα2). Input: a crystal structure in Alexandria, relaxed with GGA-PBE.
Kinematic intensities with the Lorentz-polarization factor, no thermal factor.

Crystal structure
Cell: 6.527 7.008 7.483 Å, 90.00 90.00 90.00°
Space group I2_12_12_1 (No. 24)
One atom of each set of equivalent atoms:
Sc 0.000 0.250 0.085
Al 0.127 0.000 0.750
Al 0.250 0.344 0.500
O 0.048 0.492 0.939
O 0.215 0.203 0.303

Top 12 peaks for 2θ = 5–70°, by angle:
- 30.3°, I = 81, (1 1 2)
- 31.3°, I = 80, (1 2 1)
- 32.5°, I = 100, (2 1 1)
- 36.5°, I = 10, (2 0 2)
- 46.8°, I = 24, (1 2 3)
- 47.7°, I = 10, (2 1 3)
- 48.0°, I = 11, (1 3 2)
- 49.5°, I = 11, (2 3 1)
- 50.2°, I = 13, (3 1 2)
- 52.2°, I = 9, (0 4 0)
- 62.5°, I = 22, (3 2 3)
- 63.5°, I = 28, (0 1 5)